(1)
Diffraction record for NaNi4SbAs2. The PXRD pattern is computed, not measured: it uses a DFT-relaxed cell (PBE, Alexandria) and Cu Kα.

Crystal structure
```
8
Lattice="3.7782 0.0000 0.0000 0.0000 3.7782 0.0000 0.0000 0.0000 9.7050" Properties=species:S:1:pos:R:3 pbc="T T T"
Na 0.0000 0.0000 0.0000
Ni 0.0000 1.8891 3.0852
Ni 0.0000 1.8891 6.6199
Ni 1.8891 0.0000 3.0852
Ni 1.8891 0.0000 6.6199
Sb 0.0000 0.0000 4.8525
As 1.8891 1.8891 1.7250
As 1.8891 1.8891 7.9801
```

The 12 most intense peaks (2θ = 10–90°), in order of rising 2θ:
- 2θ 18.3, rel. 15
- 2θ 25.3, rel. 49
- 2θ 30.0, rel. 68
- 2θ 38.5, rel. 29
- 2θ 44.0, rel. 100
- 2θ 44.4, rel. 13
- 2θ 48.2, rel. 48
- 2θ 56.9, rel. 12
- 2θ 57.8, rel. 20
- 2θ 70.5, rel. 14
- 2θ 77.7, rel. 18
- 2θ 86.9, rel. 27

(2)
Diffraction record for Be4SiNi7. The PXRD pattern is computed, not measured: it uses a DFT-relaxed cell (PBE, Alexandria) and Cu Kα.

Crystal structure
```
12
Lattice="5.3823 -2.0747 0.0000 5.3823 2.0747 0.0000 -3.9005 0.0000 5.5134" Properties=species:S:1:pos:R:3 pbc="T T T"
Be -0.3232 0.0000 1.1579
Be -1.2987 0.0000 4.7413
Be 8.1630 0.0000 0.7721
Be 7.1874 0.0000 4.3555
Si 3.4321 0.0000 2.7567
Ni -1.9502 0.0000 2.7567
Ni 1.7848 0.0000 1.1477
Ni 0.6317 0.0000 3.4181
Ni 4.2645 0.0000 0.5292
Ni 2.5997 0.0000 4.9842
Ni 6.2325 0.0000 2.0954
Ni 5.0794 0.0000 4.3657
```

The 12 most intense peaks (2θ = 10–90°), in order of rising 2θ:
- 2θ 23.7, rel. 29
- 2θ 32.0, rel. 55
- 2θ 34.1, rel. 65
- 2θ 35.3, rel. 63
- 2θ 41.1, rel. 40
- 2θ 42.1, rel. 41
- 2θ 43.6, rel. 100
- 2θ 45.4, rel. 46
- 2θ 45.9, rel. 72
- 2θ 47.7, rel. 40
- 2θ 48.0, rel. 54
- 2θ 49.6, rel. 63

(3)
Diffraction record for Cd2PdAu5. The PXRD pattern is computed, not measured: it uses a DFT-relaxed cell (PBE, Alexandria) and Cu Kα.

Crystal structure
```
16
Lattice="6.0104 0.0000 0.0000 0.0000 12.0140 0.0000 0.0000 0.0000 4.0274" Properties=species:S:1:pos:R:3 pbc="T T T"
Cd 1.4296 1.4584 0.0000
Cd 1.5756 7.4654 0.0000
Cd 4.4348 4.5486 0.0000
Cd 4.5808 10.5556 0.0000
Pd 0.0000 0.0000 2.0137
Pd 3.0052 6.0070 2.0137
Au 0.0000 6.0070 2.0137
Au 0.0528 9.0133 2.0137
Au 1.4830 4.5066 0.0000
Au 1.5222 10.5136 0.0000
Au 2.9523 3.0063 2.0137
Au 3.0052 0.0000 2.0137
Au 3.0580 9.0077 2.0137
Au 4.4882 1.5004 0.0000
Au 4.5274 7.5074 0.0000
Au 5.9575 3.0007 2.0137
```

The 12 most intense peaks (2θ = 10–90°), in order of rising 2θ:
- 2θ 16.5, rel. 1
- 2θ 20.9, rel. 3
- 2θ 30.6, rel. 3
- 2θ 37.3, rel. 100
- 2θ 42.6, rel. 35
- 2θ 45.0, rel. 15
- 2θ 53.3, rel. 1
- 2θ 61.8, rel. 11
- 2θ 63.7, rel. 21
- 2θ 74.4, rel. 26
- 2θ 77.9, rel. 12
- 2θ 79.6, rel. 11

(4)
Diffraction record for PaPd4Au2. The PXRD pattern is computed, not measured: it uses a DFT-relaxed cell (PBE, Alexandria) and Cu Kα.

Crystal structure
```
14
Lattice="5.4543 0.0000 0.0000 0.8927 6.9424 0.0000 2.6815 0.2457 6.6461" Properties=species:S:1:pos:R:3 pbc="T T T"
Pa 0.0000 0.0000 0.0000
Pa 2.8825 3.7806 2.3149
Pd 1.3840 1.1105 2.0496
Pd 3.1923 2.2746 5.0081
Pd 4.7323 4.8509 5.8608
Pd 3.8135 6.0416 0.8859
Pd 5.7850 2.3761 6.6013
Pd 4.1193 1.3188 2.3892
Pd 6.1708 5.5376 2.5744
Pd 7.4242 4.7300 5.1976
Au 3.5686 6.3571 3.7255
Au 5.3229 0.2670 4.8187
Au 5.7602 2.9858 3.8652
Au 5.6011 3.3616 0.8922
```

The 12 most intense peaks (2θ = 10–90°), in order of rising 2θ:
- 2θ 33.1, rel. 41
- 2θ 35.7, rel. 22
- 2θ 36.7, rel. 24
- 2θ 37.7, rel. 34
- 2θ 38.2, rel. 27
- 2θ 39.0, rel. 90
- 2θ 39.4, rel. 26
- 2θ 39.5, rel. 100
- 2θ 40.0, rel. 25
- 2θ 40.1, rel. 26
- 2θ 40.8, rel. 26
- 2θ 41.2, rel. 22

(5)
Diffraction record for SrLi3Pt2. The PXRD pattern is computed, not measured: it uses a DFT-relaxed cell (PBE, Alexandria) and Cu Kα.

Crystal structure
```
12
Lattice="7.6596 -2.1143 0.0000 7.6596 2.1143 0.0000 -3.3901 0.0000 7.1307" Properties=species:S:1:pos:R:3 pbc="T T T"
Sr 2.0416 0.0000 0.3847
Sr 9.8875 0.0000 6.7460
Li -0.5652 0.0000 2.6912
Li 2.9481 0.0000 3.7846
Li 5.1306 0.0000 2.3849
Li 6.7985 0.0000 4.7458
Li 8.9810 0.0000 3.3461
Li 12.4943 0.0000 4.4395
Pt 0.6194 0.0000 4.9681
Pt 4.4958 0.0000 5.8333
Pt 7.4333 0.0000 1.2974
Pt 11.3097 0.0000 2.1626
```

The 12 most intense peaks (2θ = 10–90°), in order of rising 2θ:
- 2θ 23.3, rel. 30
- 2θ 23.9, rel. 45
- 2θ 25.0, rel. 17
- 2θ 27.1, rel. 20
- 2θ 28.6, rel. 100
- 2θ 31.3, rel. 29
- 2θ 35.5, rel. 19
- 2θ 36.2, rel. 21
- 2θ 38.0, rel. 20
- 2θ 41.6, rel. 41
- 2θ 42.8, rel. 24
- 2θ 43.7, rel. 28

(6)
Diffraction record for LiCo4As12. The PXRD pattern is computed, not measured: it uses a DFT-relaxed cell (PBE, Alexandria) and Cu Kα.

Crystal structure
```
17
Lattice="-4.1580 4.1580 4.1580 4.1580 -4.1580 4.1580 4.1580 4.1580 -4.1580" Properties=species:S:1:pos:R:3 pbc="T T T"
Li 0.0000 0.0000 0.0000
Co 2.0790 2.0790 -2.0790
Co 2.0790 -2.0790 2.0790
Co -2.0790 2.0790 2.0790
Co 2.0790 2.0790 2.0790
As 2.8378 1.2691 0.0000
As 5.4781 1.2691 0.0000
As 4.1580 -1.3202 2.8889
As 2.8889 4.1580 -1.3202
As 1.2691 0.0000 2.8378
As 0.0000 2.8378 1.2691
As 4.1580 1.3202 2.8889
As 2.8889 4.1580 1.3202
As 1.2691 0.0000 5.4781
As 0.0000 5.4781 1.2691
As -1.3202 2.8889 4.1580
As 1.3202 2.8889 4.1580
```

The 12 most intense peaks (2θ = 10–90°), in order of rising 2θ:
- 2θ 15.1, rel. 10
- 2θ 21.4, rel. 9
- 2θ 26.3, rel. 9
- 2θ 34.1, rel. 100
- 2θ 40.6, rel. 32
- 2θ 49.0, rel. 34
- 2θ 51.5, rel. 9
- 2θ 54.0, rel. 22
- 2θ 56.4, rel. 29
- 2θ 65.4, rel. 15
- 2θ 77.9, rel. 15
- 2θ 89.8, rel. 9